The following is a theoretical X-ray diffraction stick pattern of BaBrCl2. It was derived from a GGA-PBE-relaxed structure, using Cu Ka.
Kinematic intensities with the Lorentz-polarization factor, no thermal factor.

The 6 most intense peaks (2θ from 15° to 90°), low angle first:
- 2θ 18.83, d = 4.713 Å, I 38, hkl 2 0 0
- 2θ 24.59, d = 3.620 Å, I 33, hkl 1 1 -1
- 2θ 26.95, d = 3.308 Å, I 100, hkl 1 1 1
- 2θ 32.91, d = 2.722 Å, I 33, hkl 2 0 -2
- 2θ 34.91, d = 2.570 Å, I 52, hkl 3 1 -1
- 2θ 37.10, d = 2.423 Å, I 24, hkl 0 2 0

Cell: 9.6285 4.8461 5.8976 Å, 90.00 101.80 90.00°
Fractional positions:
Ba 0.0000 0.0000 0.0000
Ba 0.5000 0.5000 0.0000
Br 0.0000 0.5000 0.5000
Br 0.5000 0.0000 0.5000
Cl 0.1995 0.5000 0.1850
Cl 0.3005 0.0000 0.8150
Cl 0.6995 0.0000 0.1850
Cl 0.8005 0.5000 0.8150